(1)
# Ce2Er5Ga4
Computed X-ray diffraction stick pattern, Cu Kα (λ = 1.5418 Å). Input: a cell relaxed with PBE.

Principal peaks in the range 2θ from 15° to 90°, most intense first:
| d [Å] | I (rel.) | h k l |
| --- | --- | --- |
| 2.696 | 100 | 1 2 1 |
| 2.581 | 42 | 0 2 6 |
| 3.150 | 40 | 1 0 3 |
| 2.668 | 26 | 0 1 7 |
| 2.215 | 25 | 1 0 7 |
| 1.828 | 24 | 1 3 6 |
| 3.284 | 22 | 0 0 6 |
| 2.087 | 20 | 0 4 0 |
| 2.563 | 18 | 0 3 3 |
| 3.185 | 18 | 0 2 4 |

Unit cell a=3.5895 b=8.3498 c=19.7057 alpha=90.00 beta=90.00 gamma=90.00
Space group Immm (No. 71)
One atom of each set of equivalent atoms:
Ce 0.0000 0.0000 0.0701 (multiplicity 4)
Er 0.0000 0.2183 0.3382 (multiplicity 8)
Er 0.0000 0.5000 0.0000 (multiplicity 2)
Ga 0.0000 0.0000 0.2194 (multiplicity 4)
Ga 0.0000 0.2657 0.5000 (multiplicity 4)



(2)
# Pu4In16Ag3
Computed X-ray diffraction stick pattern, Cu Kα (λ = 1.5418 Å). Input: a cell relaxed with PBE.

Principal peaks in the range 2θ from 15° to 90°, most intense first:
| d [Å] | I (rel.) | h k l |
| --- | --- | --- |
| 2.626 | 100 | 2 0 3 |
| 2.441 | 66 | 2 2 0 |
| 3.001 | 31 | 2 0 2 |
| 1.442 | 28 | 4 2 3 |
| 3.116 | 23 | 1 1 3 |
| 1.726 | 22 | 4 0 0 |
| 1.721 | 22 | 2 2 5 |
| 2.428 | 16 | 0 0 5 |
| 2.279 | 13 | 2 0 4 |
| 4.882 | 12 | 1 1 0 |

Unit cell a=6.9041 b=6.9041 c=12.1409 alpha=90.00 beta=90.00 gamma=90.00
Space group P4/mmm (No. 123)
One atom of each set of equivalent atoms:
Pu 0.0000 0.5000 0.1874 (multiplicity 4)
In 0.0000 0.0000 0.1984 (multiplicity 2)
In 0.2187 0.2187 0.0000 (multiplicity 4)
In 0.2436 0.2436 0.3710 (multiplicity 8)
In 0.5000 0.5000 0.2252 (multiplicity 2)
Ag 0.0000 0.5000 0.5000 (multiplicity 2)
Ag 0.5000 0.5000 0.0000 (multiplicity 1)



(3)
# Tm2Si9Ir3
Computed X-ray diffraction stick pattern, Cu Kα (λ = 1.5418 Å). Input: a cell relaxed with PBE.

Principal peaks in the range 2θ from 15° to 90°, most intense first:
| d [Å] | I (rel.) | h k l |
| --- | --- | --- |
| 2.916 | 100 | 0 2 2 |
| 2.189 | 96 | 3 3 -1 |
| 2.887 | 88 | 3 1 -3 |
| 2.836 | 88 | 3 1 1 |
| 3.712 | 55 | 3 1 -1 |
| 2.246 | 51 | 0 0 4 |
| 2.122 | 45 | 6 0 -2 |
| 1.937 | 38 | 3 1 -5 |
| 1.559 | 28 | 3 3 3 |
| 2.310 | 28 | 3 1 2 |

Unit cell a=12.7317 b=7.6653 c=10.0162 alpha=90.00 beta=116.25 gamma=90.00
Space group C2/c (No. 15)
One atom of each set of equivalent atoms:
Tm 0.1505 0.0748 0.2600 (multiplicity 8)
Si 0.0000 0.3972 0.2500 (multiplicity 4)
Si 0.0587 0.0816 0.9481 (multiplicity 8)
Si 0.0949 0.3136 0.7493 (multiplicity 8)
Si 0.1163 0.4117 0.0918 (multiplicity 8)
Si 0.2257 0.4228 0.4068 (multiplicity 8)
Ir 0.0913 0.2864 0.5024 (multiplicity 8)
Ir 0.2500 0.2500 0.0000 (multiplicity 4)



(4)
# LiTh2TlRu
Computed X-ray diffraction stick pattern, Cu Kα (λ = 1.5418 Å). Input: a cell relaxed with PBE.

Principal peaks in the range 2θ from 15° to 90°, most intense first:
| d [Å] | I (rel.) | h k l |
| --- | --- | --- |
| 2.799 | 100 | 2 1 -1 |
| 3.171 | 88 | 1 0 2 |
| 2.751 | 71 | 2 1 0 |
| 2.279 | 67 | 1 1 -3 |
| 3.491 | 44 | 1 1 0 |
| 1.956 | 41 | 0 2 0 |
| 2.579 | 41 | 3 0 0 |
| 3.352 | 38 | 2 0 -2 |
| 2.835 | 36 | 1 1 -2 |
| 1.559 | 30 | 4 0 2 |

Unit cell a=8.1432 b=3.9123 c=8.4184 alpha=90.00 beta=108.19 gamma=90.00
Space group P2_1/m (No. 11)
One atom of each set of equivalent atoms:
Li 0.1395 0.2500 0.0712 (multiplicity 2)
Th 0.1482 0.7500 0.4137 (multiplicity 2)
Th 0.4931 0.2500 0.7733 (multiplicity 2)
Tl 0.1854 0.7500 0.8366 (multiplicity 2)
Ru 0.3812 0.2500 0.3851 (multiplicity 2)



(5)
# CeVGa6
Computed X-ray diffraction stick pattern, Cu Kα (λ = 1.5418 Å). Input: a cell relaxed with PBE.

Principal peaks in the range 2θ from 15° to 90°, most intense first:
| d [Å] | I (rel.) | h k l |
| --- | --- | --- |
| 2.271 | 100 | 2 2 0 |
| 2.527 | 73 | 0 2 2 |
| 3.639 | 23 | 1 1 1 |
| 1.496 | 19 | 2 4 -2 |
| 1.988 | 18 | 2 0 -2 |
| 1.984 | 18 | 2 0 2 |
| 1.311 | 16 | 4 0 0 |
| 1.136 | 10 | 4 4 0 |
| 3.041 | 9 | 0 0 2 |
| 1.514 | 9 | 0 4 3 |

Unit cell a=5.2427 b=9.0889 c=6.0824 alpha=90.00 beta=90.19 gamma=90.00
Space group C2/m (No. 12)
One atom of each set of equivalent atoms:
Ce 0.0000 0.0000 0.0000 (multiplicity 2)
V 0.0000 0.0000 0.5000 (multiplicity 2)
Ga 0.0005 0.5000 0.2789 (multiplicity 4)
Ga 0.2504 0.2500 0.2782 (multiplicity 8)